(1)
The following is a simulated PXRD pattern of FeAg2Pb. It was derived from a DFT-relaxed cell (GGA-PBE, Alexandria), using Cu Kα.
No peak broadening, texture or thermal motion is included.

Largest 12 diffraction maxima, low angle first, 2θ = 10–90°:
2θ = 20.55°, d 4.322, I = 11, hkl 0 1 1; 2θ = 30.09°, d 2.970, I = 15, hkl 1 0 1; 2θ = 31.90°, d 2.805, I = 25, hkl 0 1 3; 2θ = 34.40°, d 2.607, I = 29, hkl 0 0 4; 2θ = 37.89°, d 2.374, I = 28, hkl 0 2 0; 2θ = 38.76°, d 2.323, I = 100, hkl 1 1 2; 2θ = 52.10°, d 1.755, I = 18, hkl 0 2 4; 2θ = 52.92°, d 1.730, I = 9, hkl 1 0 5; 2θ = 64.53°, d 1.444, I = 13, hkl 1 1 6; 2θ = 66.91°, d 1.398, I = 9, hkl 1 2 5; 2θ = 69.02°, d 1.361, I = 18, hkl 1 3 2; 2θ = 83.16°, d 1.162, I = 9, hkl 2 2 4

Cell and atoms:
Cell lengths 3.0985, 4.7488, 10.4288 Å; angles 90.00, 90.00, 90.00 degrees
Space group Immm (No. 71)
Unique sites:
Fe 0.0000 0.0000 0.0000
Ag 0.0000 0.5000 0.2782
Pb 0.0000 0.0000 0.5000



(2)
The following is a simulated PXRD pattern of Sm2Ga3SiAu4. It was derived from a DFT-relaxed cell (GGA-PBE, Alexandria), using Cu Kα.
No peak broadening, texture or thermal motion is included.

Largest 12 diffraction maxima, low angle first, 2θ = 10–90°:
2θ = 29.87°, d 2.992, I = 47, hkl 1 1 1; 2θ = 32.88°, d 2.724, I = 71, hkl 1 0 3; 2θ = 33.48°, d 2.677, I = 100, hkl 1 1 2; 2θ = 40.85°, d 2.209, I = 80, hkl 2 0 0; 2θ = 45.44°, d 1.996, I = 36, hkl 1 1 4; 2θ = 48.46°, d 1.879, I = 27, hkl 1 0 5; 2θ = 53.40°, d 1.716, I = 36, hkl 2 1 3; 2θ = 59.14°, d 1.562, I = 27, hkl 2 2 0; 2θ = 61.26°, d 1.513, I = 22, hkl 1 1 6; 2θ = 65.19°, d 1.431, I = 22, hkl 2 1 5; 2θ = 69.70°, d 1.349, I = 24, hkl 3 1 2; 2θ = 87.13°, d 1.119, I = 18, hkl 2 0 8

Cell and atoms:
Cell lengths 4.4184, 4.4184, 10.3775 Å; angles 90.00, 90.00, 90.00 degrees
Space group P-4m2 (No. 115)
Unique sites:
Sm 0.0000 0.5000 0.2479
Ga 0.0000 0.0000 0.0000
Ga 0.0000 0.5000 0.6343
Si 0.5000 0.5000 0.0000
Au 0.0000 0.0000 0.5000
Au 0.0000 0.5000 0.8757
Au 0.5000 0.5000 0.5000



(3)
The following is a simulated PXRD pattern of Cs2U3Te2O14. It was derived from a DFT-relaxed cell (GGA-PBE, Alexandria), using Cu Kα.
No peak broadening, texture or thermal motion is included.

Largest 12 diffraction maxima, low angle first, 2θ = 10–90°:
2θ = 12.88°, d 6.872, I = 100, hkl 0 1 -1; 2θ = 22.87°, d 3.888, I = 43, hkl 0 2 -1; 2θ = 23.14°, d 3.844, I = 50, hkl 1 0 -2; 2θ = 25.96°, d 3.433, I = 40, hkl 0 2 -2; 2θ = 26.13°, d 3.411, I = 26, hkl 1 -1 2; 2θ = 26.52°, d 3.361, I = 57, hkl 2 -1 0; 2θ = 27.09°, d 3.291, I = 54, hkl 1 1 1; 2θ = 29.04°, d 3.075, I = 21, hkl 1 0 2; 2θ = 29.37°, d 3.041, I = 20, hkl -1 1 2; 2θ = 29.55°, d 3.023, I = 20, hkl 2 1 -1; 2θ = 30.89°, d 2.895, I = 27, hkl -1 2 1; 2θ = 42.63°, d 2.121, I = 19, hkl 1 2 -4

Cell and atoms:
Cell lengths 7.0428, 7.8626, 8.7840 Å; angles 112.41, 100.09, 98.24 degrees
Space group P-1 (No. 2)
Unique sites:
Cs 0.2003 0.3716 0.3253
U 0.1010 0.1762 0.7317
U 0.5000 0.0000 0.5000
Te 0.3453 0.6678 0.0252
O 0.1086 0.3827 0.6757
O 0.1182 0.9909 0.8090
O 0.1350 0.7366 0.1251
O 0.1794 0.0005 0.4756
O 0.3069 0.4160 0.0089
O 0.4656 0.2124 0.7589
O 0.4676 0.8027 0.5660



(4)
The following is a simulated PXRD pattern of AlSbS3. It was derived from a DFT-relaxed cell (GGA-PBE, Alexandria), using Cu Kα.
No peak broadening, texture or thermal motion is included.

Largest 12 diffraction maxima, low angle first, 2θ = 10–90°:
2θ = 15.55°, d 5.697, I = 100, hkl 0 4 0; 2θ = 16.52°, d 5.366, I = 85, hkl 0 2 1; 2θ = 21.37°, d 4.158, I = 58, hkl 0 4 1; 2θ = 27.71°, d 3.219, I = 100, hkl 1 1 1; 2θ = 29.89°, d 2.989, I = 34, hkl 1 3 1; 2θ = 33.87°, d 2.647, I = 66, hkl 1 5 1; 2θ = 34.77°, d 2.580, I = 29, hkl 0 8 1; 2θ = 37.90°, d 2.374, I = 49, hkl 0 6 2; 2θ = 39.59°, d 2.276, I = 52, hkl 1 3 2; 2θ = 42.76°, d 2.115, I = 54, hkl 1 9 0; 2θ = 47.25°, d 1.924, I = 28, hkl 2 0 0; 2θ = 52.40°, d 1.746, I = 35, hkl 1 3 3

Cell and atoms:
Cell lengths 3.8467, 22.7896, 6.0831 Å; angles 90.00, 90.00, 90.00 degrees
Space group Cmc2_1 (No. 36)
Unique sites:
Al 0.0000 0.1166 0.0000
Sb 0.0000 0.3378 0.9388
S 0.0000 0.0962 0.6428
S 0.0000 0.2059 0.1563
S 0.0000 0.4239 0.6633



(5)
The following is a simulated PXRD pattern of CePm2Ge6. It was derived from a DFT-relaxed cell (GGA-PBE, Alexandria), using Cu Kα.
No peak broadening, texture or thermal motion is included.

Largest 12 diffraction maxima, low angle first, 2θ = 10–90°:
2θ = 23.30°, d 3.818, I = 11, hkl 1 1 0; 2θ = 32.25°, d 2.775, I = 100, hkl 1 1 1; 2θ = 40.94°, d 2.204, I = 47, hkl 3 0 0; 2θ = 44.85°, d 2.021, I = 12, hkl 0 0 2; 2θ = 51.14°, d 1.786, I = 3, hkl 1 1 2; 2θ = 53.06°, d 1.726, I = 24, hkl 2 2 1; 2θ = 62.33°, d 1.490, I = 27, hkl 3 0 2; 2θ = 69.12°, d 1.359, I = 22, hkl 4 1 1; 2θ = 74.57°, d 1.273, I = 8, hkl 3 3 0; 2θ = 74.72°, d 1.270, I = 9, hkl 1 1 3; 2θ = 88.77°, d 1.102, I = 5, hkl 6 0 0; 2θ = 88.91°, d 1.101, I = 6, hkl 2 2 3

Cell and atoms:
Cell lengths 7.6355, 7.6355, 4.0418 Å; angles 90.00, 90.00, 120.00 degrees
Space group P6/mmm (No. 191)
Unique sites:
Ce 0.0000 0.0000 0.0000
Pm 0.3333 0.6667 0.0000
Ge 0.0000 0.3336 0.5000



(6)
The following is a simulated PXRD pattern of LiYCl4. It was derived from a DFT-relaxed cell (GGA-PBE, Alexandria), using Cu Kα.
No peak broadening, texture or thermal motion is included.

Largest 12 diffraction maxima, low angle first, 2θ = 10–90°:
2θ = 13.26°, d 6.675, I = 47, hkl 0 0 1; 2θ = 13.56°, d 6.532, I = 100, hkl 1 0 0; 2θ = 18.11°, d 4.900, I = 20, hkl 1 0 -1; 2θ = 19.87°, d 4.467, I = 15, hkl 1 0 1; 2θ = 26.34°, d 3.383, I = 23, hkl 1 1 0; 2θ = 28.90°, d 3.090, I = 33, hkl 1 0 -2; 2θ = 30.18°, d 2.961, I = 75, hkl 1 1 1; 2θ = 36.68°, d 2.450, I = 24, hkl 2 0 -2; 2θ = 39.12°, d 2.303, I = 34, hkl 2 1 1; 2θ = 45.89°, d 1.977, I = 14, hkl 0 2 0; 2θ = 46.85°, d 1.939, I = 25, hkl 0 1 3; 2θ = 48.57°, d 1.874, I = 21, hkl 3 1 -1

Cell and atoms:
Cell lengths 6.5597, 3.9547, 6.7038 Å; angles 90.00, 95.29, 90.00 degrees
Space group P2/m (No. 10)
Unique sites:
Li 0.0000 0.0000 0.0000
Y 0.0000 0.5000 0.5000
Cl 0.2018 0.5000 0.1829
Cl 0.2282 0.0000 0.6762